For Li3Ni2C4O12, the PBE+U geometry in Alexandria gives the computed XRD peak list in this record (Cu Kα, 1.54184 Å).
Neutral-atom scattering factors, no anomalous dispersion.

The 6 most intense peaks (15° ≤ 2θ ≤ 90°), by angle:
- hkl 1 0 0, 18.64°, 4.760 Å, rel. 1000
- hkl 0 1 1, 18.77°, 4.727 Å, rel. 807
- hkl 1 1 1, 22.38°, 3.972 Å, rel. 280
- hkl 1 1 -1, 22.70°, 3.917 Å, rel. 283
- hkl 1 -1 1, 29.98°, 2.981 Å, rel. 216
- hkl 0 2 1, 32.15°, 2.784 Å, rel. 429

Structure:
Cell lengths 5.081, 6.368, 7.749 Å; angles 89.58, 89.03, 69.54 degrees
Atoms (fractional coordinates):
Li (0.000, 0.000, 0.000)
Li (0.001, 0.514, 0.592)
Li (0.700, 0.220, 0.484)
Ni (0.350, 0.372, 0.039)
Ni (0.353, 0.866, 0.546)
C (0.202, 0.230, 0.303)
C (0.221, 0.734, 0.286)
C (0.503, 0.003, 0.800)
C (0.507, 0.494, 0.774)
O (0.074, 0.236, 0.159)
O (0.079, 0.742, 0.429)
O (0.099, 0.194, 0.451)
O (0.137, 0.696, 0.139)
O (0.261, 0.472, 0.784)
O (0.270, 0.961, 0.796)
O (0.434, 0.272, 0.295)
O (0.449, 0.779, 0.303)
O (0.599, 0.055, 0.938)
O (0.604, 0.535, 0.624)
O (0.634, 0.985, 0.651)
O (0.647, 0.469, 0.912)